The following is a computed X-ray diffraction stick pattern of BaTlBiI6. It was derived from DFT lattice parameters and positions (GGA-PBE), using copper Kα.

```
data_BaTlBiI6
_chemical_formula_sum 'Ba2 Tl2 Bi2 I12'
_cell_length_a 8.4582
_cell_length_b 8.4582
_cell_length_c 14.9364
_cell_angle_alpha 90.00
_cell_angle_beta 90.00
_cell_angle_gamma 120.00
_space_group_name_H-M_alt 'P -3 1 c'
_space_group_IT_number 163
_space_group_name_Hall '-P 3 2c'
loop_
_atom_site_label
_atom_site_type_symbol
_atom_site_fract_x
_atom_site_fract_y
_atom_site_fract_z
Ba1 Ba 0.3333 0.6667 0.2500
Tl1 Tl 0.0000 0.0000 0.0000
Bi1 Bi 0.3333 0.6667 0.7500
I1 I 0.0335 0.3705 0.6274
```

Most intense lines, 2θ = 10–90°, by intensity:
2θ/deg, intensity
24.2, 100.0
32.0, 96.3
17.0, 76.0
36.8, 57.7
34.6, 30.5
49.5, 26.3
27.1, 24.5
62.6, 24.2

---

The following is a computed X-ray diffraction stick pattern of MnFe2Re2. It was derived from DFT lattice parameters and positions (GGA-PBE), using copper Kα.

```
data_MnFe2Re2
_chemical_formula_sum 'Mn2 Fe4 Re4'
_cell_length_a 6.913
_cell_length_b 6.913
_cell_length_c 2.687
_cell_angle_alpha 90.00
_cell_angle_beta 90.00
_cell_angle_gamma 90.00
_space_group_name_H-M_alt 'P 4/m b m'
_space_group_IT_number 127
_space_group_name_Hall '-P 4 2ab'
loop_
_atom_site_label
_atom_site_type_symbol
_atom_site_fract_x
_atom_site_fract_y
_atom_site_fract_z
Mn1 Mn 0.000 0.000 0.000
Fe1 Fe 0.123 0.377 0.000
Re1 Re 0.174 0.674 0.500
```

Most intense lines, 2θ = 10–90°, by intensity:
2θ/deg, intensity
44.7, 100.0
28.9, 44.4
41.3, 40.3
42.6, 35.1
65.6, 25.1
54.8, 22.6
25.8, 21.0
67.2, 16.3

---

The following is a computed X-ray diffraction stick pattern of Tb8Y5Tm. It was derived from DFT lattice parameters and positions (GGA-PBE), using copper Kα.

```
data_Tb8Y5Tm
_chemical_formula_sum 'Tb16 Y10 Tm2'
_cell_length_a 9.599
_cell_length_b 9.599
_cell_length_c 10.091
_cell_angle_alpha 90.00
_cell_angle_beta 90.00
_cell_angle_gamma 90.00
_space_group_name_H-M_alt 'I -4'
_space_group_IT_number 82
loop_
_space_group_symop_operation_xyz
'x,y,z'
'y,-x,-z'
'-x,-y,z'
'-y,x,-z'
'x+1/2,y+1/2,z+1/2'
'y+1/2,-x+1/2,-z+1/2'
'-x+1/2,-y+1/2,z+1/2'
'-y+1/2,x+1/2,-z+1/2'
loop_
_atom_site_label
_atom_site_type_symbol
_atom_site_fract_x
_atom_site_fract_y
_atom_site_fract_z
Tb1 Tb 0.069 0.174 0.344
Tb2 Tb 0.091 0.325 0.002
Y1 Y 0.000 0.500 0.250
Y2 Y 0.111 0.291 0.674
Tm1 Tm 0.000 0.000 0.000
```

Most intense lines, 2θ = 10–90°, by intensity:
2θ/deg, intensity
33.9, 100.0
29.4, 87.2
28.1, 85.9
29.3, 79.6
34.5, 75.0
34.9, 71.8
22.5, 37.2
31.8, 26.5

---

The following is a computed X-ray diffraction stick pattern of Tb4Er8Th. It was derived from DFT lattice parameters and positions (GGA-PBE), using copper Kα.

```
data_Tb4Er8Th
_chemical_formula_sum 'Tb12 Er24 Th3'
_cell_length_a 10.9127
_cell_length_b 10.9127
_cell_length_c 13.3343
_cell_angle_alpha 90.00
_cell_angle_beta 90.00
_cell_angle_gamma 120.00
_space_group_name_H-M_alt 'R -3 m'
_space_group_IT_number 166
_space_group_name_Hall '-R 3 2"'
loop_
_atom_site_label
_atom_site_type_symbol
_atom_site_fract_x
_atom_site_fract_y
_atom_site_fract_z
Tb1 Tb 0.0000 0.0000 0.0000
Tb2 Tb 0.0000 0.5000 0.0000
Er1 Er 0.0000 0.0000 0.2408
Er2 Er 0.0120 0.5060 0.7465
Th1 Th 0.0000 0.0000 0.5000
```

Most intense lines, 2θ = 10–90°, by intensity:
2θ/deg, intensity
32.9, 100.0
58.6, 28.1
47.1, 18.1
78.4, 15.6
58.7, 9.3
19.9, 8.3
25.8, 7.0
16.3, 6.0

---

The following is a computed X-ray diffraction stick pattern of Tl14Ag2Se9. It was derived from DFT lattice parameters and positions (GGA-PBE), using copper Kα.

```
data_Tl14Ag2Se9
_chemical_formula_sum 'Tl14 Ag2 Se9'
_cell_length_a 8.7885
_cell_length_b 8.7885
_cell_length_c 12.5138
_cell_angle_alpha 90.00
_cell_angle_beta 90.00
_cell_angle_gamma 120.00
_space_group_name_H-M_alt 'P -3'
_space_group_IT_number 147
loop_
_space_group_symop_operation_xyz
'x,y,z'
'-x,-y,-z'
'-y,x-y,z'
'y,-x+y,-z'
'-x+y,-x,z'
'x-y,x,-z'
loop_
_atom_site_label
_atom_site_type_symbol
_atom_site_fract_x
_atom_site_fract_y
_atom_site_fract_z
Tl1 Tl 0.0000 0.0000 0.2461
Tl2 Tl 0.0215 0.6555 0.8910
Tl3 Tl 0.1114 0.4190 0.5938
Ag1 Ag 0.3333 0.6667 0.2674
Se1 Se 0.0000 0.0000 0.0000
Se2 Se 0.1031 0.3397 0.3516
Se3 Se 0.3333 0.6667 0.0515
```

Most intense lines, 2θ = 10–90°, by intensity:
2θ/deg, intensity
24.8, 100.0
35.2, 66.9
31.9, 61.0
35.4, 40.7
31.1, 26.9
48.2, 18.9
34.3, 18.7
48.3, 18.1

---

The following is a computed X-ray diffraction stick pattern of CsZn2Hg. It was derived from DFT lattice parameters and positions (GGA-PBE), using copper Kα.

```
data_CsZn2Hg
_chemical_formula_sum 'Cs4 Zn8 Hg4'
_cell_length_a 5.555
_cell_length_b 5.555
_cell_length_c 19.474
_cell_angle_alpha 90.00
_cell_angle_beta 90.00
_cell_angle_gamma 90.00
_space_group_name_H-M_alt 'I 41/a m d'
_space_group_IT_number 141
loop_
_space_group_symop_operation_xyz
'x,y,z'
'-x,-y,-z'
'-y+1/4,x+3/4,z+1/4'
'y+1/4,-x+3/4,-z+1/4'
'-x+1/2,-y,z+1/2'
'x+1/2,y,-z+1/2'
'y+1/4,-x+1/4,z+3/4'
'-y+1/4,x+1/4,-z+3/4'
'x,-y,-z'
'-x,y,z'
'-y+1/4,-x+1/4,-z+3/4'
'y+1/4,x+1/4,z+3/4'
'-x+1/2,y,-z+1/2'
'x+1/2,-y,z+1/2'
'y+1/4,x+3/4,-z+1/4'
'-y+1/4,-x+3/4,z+1/4'
'x+1/2,y+1/2,z+1/2'
'-x+1/2,-y+1/2,-z+1/2'
'-y+3/4,x+1/4,z+3/4'
'y+3/4,-x+1/4,-z+3/4'
'-x,-y+1/2,z'
'x,y+1/2,-z'
'y+3/4,-x+3/4,z+1/4'
'-y+3/4,x+3/4,-z+1/4'
'x+1/2,-y+1/2,-z+1/2'
'-x+1/2,y+1/2,z+1/2'
'-y+3/4,-x+3/4,-z+1/4'
'y+3/4,x+3/4,z+1/4'
'-x,y+1/2,-z'
'x,-y+1/2,z'
'y+3/4,x+1/4,-z+3/4'
'-y+3/4,-x+1/4,z+3/4'
loop_
_atom_site_label
_atom_site_type_symbol
_atom_site_fract_x
_atom_site_fract_y
_atom_site_fract_z
Cs1 Cs 0.000 0.250 0.375
Zn1 Zn 0.000 0.000 0.000
Hg1 Hg 0.000 0.250 0.875
```

Most intense lines, 2θ = 10–90°, by intensity:
2θ/deg, intensity
24.4, 100.0
35.9, 37.3
37.3, 33.7
16.6, 32.2
50.1, 29.5
32.2, 24.9
53.0, 24.6
36.9, 17.8

---

The following is a computed X-ray diffraction stick pattern of Th3InHg5. It was derived from DFT lattice parameters and positions (GGA-PBE), using copper Kα.

```
data_Th3InHg5
_chemical_formula_sum 'Th6 In2 Hg10'
_cell_length_a 9.1927
_cell_length_b 9.1927
_cell_length_c 6.5726
_cell_angle_alpha 90.00
_cell_angle_beta 90.00
_cell_angle_gamma 120.00
_space_group_name_H-M_alt 'P 63/m c m'
_space_group_IT_number 193
_space_group_name_Hall '-P 6c 2'
loop_
_atom_site_label
_atom_site_type_symbol
_atom_site_fract_x
_atom_site_fract_y
_atom_site_fract_z
Th1 Th 0.0000 0.3390 0.2500
In1 In 0.0000 0.0000 0.0000
Hg1 Hg 0.0000 0.3286 0.7500
Hg2 Hg 0.3333 0.6667 0.0000
```

Most intense lines, 2θ = 10–90°, by intensity:
2θ/deg, intensity
33.8, 100.0
33.5, 85.1
60.3, 32.1
48.3, 30.9
67.0, 28.7
60.4, 19.1
43.9, 17.4
86.9, 14.7

---

The following is a computed X-ray diffraction stick pattern of Ho6PO12. It was derived from DFT lattice parameters and positions (GGA-PBE), using copper Kα.

```
data_Ho6PO12
_chemical_formula_sum 'Ho18 P3 O36'
_cell_length_a 9.6300
_cell_length_b 9.6300
_cell_length_c 9.1702
_cell_angle_alpha 90.00
_cell_angle_beta 90.00
_cell_angle_gamma 120.00
_space_group_name_H-M_alt 'R -3'
_space_group_IT_number 148
_space_group_name_Hall '-R 3'
loop_
_atom_site_label
_atom_site_type_symbol
_atom_site_fract_x
_atom_site_fract_y
_atom_site_fract_z
Ho1 Ho 0.0475 0.2567 0.1490
P1 P 0.0000 0.0000 0.5000
O1 O 0.0355 0.2268 0.9037
O2 O 0.0390 0.1691 0.3945
```

Most intense lines, 2θ = 10–90°, by intensity:
2θ/deg, intensity
30.0, 100.0
34.5, 47.7
29.2, 32.0
49.1, 26.8
50.1, 26.2
59.1, 24.4
18.4, 14.2
58.2, 13.2

---

The following is a computed X-ray diffraction stick pattern of LiPa2Ru4. It was derived from DFT lattice parameters and positions (GGA-PBE), using copper Kα.

```
data_LiPa2Ru4
_chemical_formula_sum 'Li2 Pa4 Ru8'
_cell_length_a 5.675
_cell_length_b 7.848
_cell_length_c 6.318
_cell_angle_alpha 90.00
_cell_angle_beta 115.77
_cell_angle_gamma 90.00
_space_group_name_H-M_alt 'C 1 2/m 1'
_space_group_IT_number 12
loop_
_space_group_symop_operation_xyz
'x,y,z'
'-x,-y,-z'
'-x,y,-z'
'x,-y,z'
'x+1/2,y+1/2,z'
'-x+1/2,-y+1/2,-z'
'-x+1/2,y+1/2,-z'
'x+1/2,-y+1/2,z'
loop_
_atom_site_label
_atom_site_type_symbol
_atom_site_fract_x
_atom_site_fract_y
_atom_site_fract_z
Li1 Li 0.000 0.000 0.000
Pa1 Pa 0.149 0.500 0.293
Ru1 Ru 0.000 0.250 0.500
Ru2 Ru 0.250 0.250 0.000
```

Most intense lines, 2θ = 10–90°, by intensity:
2θ/deg, intensity
39.1, 100.0
30.4, 25.9
20.9, 25.7
20.7, 24.9
30.8, 24.4
46.3, 17.0
44.7, 15.5
45.5, 15.0

---

The following is a computed X-ray diffraction stick pattern of Rb2PH3SeO8. It was derived from DFT lattice parameters and positions (GGA-PBE), using copper Kα.

```
data_Rb2PH3SeO8
_chemical_formula_sum 'Rb4 P2 H6 Se2 O16'
_cell_length_a 7.679
_cell_length_b 7.797
_cell_length_c 10.041
_cell_angle_alpha 90.00
_cell_angle_beta 128.98
_cell_angle_gamma 90.00
_space_group_name_H-M_alt 'P 1 c 1'
_space_group_IT_number 7
loop_
_space_group_symop_operation_xyz
'x,y,z'
'x,-y,z+1/2'
loop_
_atom_site_label
_atom_site_type_symbol
_atom_site_fract_x
_atom_site_fract_y
_atom_site_fract_z
Rb1 Rb 0.000 0.056 0.000
Rb2 Rb 0.786 0.436 0.576
P1 P 0.553 0.050 0.040
H1 H 0.299 0.163 0.410
H2 H 0.426 0.236 0.821
H3 H 0.519 0.266 0.172
Se1 Se 0.254 0.441 0.547
O1 O 0.044 0.421 0.957
O2 O 0.222 0.285 0.647
O3 O 0.253 0.350 0.394
O4 O 0.312 0.030 0.404
O5 O 0.503 0.461 0.189
O6 O 0.554 0.137 0.184
O7 O 0.570 0.201 0.944
O8 O 0.741 0.075 0.620
```

Most intense lines, 2θ = 10–90°, by intensity:
2θ/deg, intensity
22.8, 100.0
26.2, 81.0
25.5, 51.6
32.1, 33.3
37.7, 24.4
42.7, 24.2
26.9, 24.2
32.5, 24.1

---

The following is a computed X-ray diffraction stick pattern of RbSiB. It was derived from DFT lattice parameters and positions (GGA-PBE), using copper Kα.

```
data_RbSiB
_chemical_formula_sum 'Rb8 Si8 B8'
_cell_length_a 11.301
_cell_length_b 6.904
_cell_length_c 6.904
_cell_angle_alpha 90.00
_cell_angle_beta 90.00
_cell_angle_gamma 90.00
_space_group_name_H-M_alt 'C m c e'
_space_group_IT_number 64
_space_group_name_Hall '-C 2ac 2'
loop_
_atom_site_label
_atom_site_type_symbol
_atom_site_fract_x
_atom_site_fract_y
_atom_site_fract_z
Rb1 Rb 0.194 0.000 0.000
Si1 Si 0.000 0.141 0.359
B1 B 0.000 0.155 0.655
```

Most intense lines, 2θ = 10–90°, by intensity:
2θ/deg, intensity
30.0, 100.0
30.3, 64.8
25.8, 52.6
58.8, 36.9
36.8, 26.8
42.2, 23.0
40.2, 21.3
44.2, 20.4

---

The following is a computed X-ray diffraction stick pattern of NpHgIN. It was derived from DFT lattice parameters and positions (GGA-PBE), using copper Kα.

```
data_NpHgIN
_chemical_formula_sum 'Np2 Hg2 I2 N2'
_cell_length_a 3.997
_cell_length_b 3.997
_cell_length_c 13.239
_cell_angle_alpha 90.00
_cell_angle_beta 90.00
_cell_angle_gamma 90.00
_space_group_name_H-M_alt 'P 4/n m m'
_space_group_IT_number 129
loop_
_space_group_symop_operation_xyz
'x,y,z'
'-x,-y,-z'
'-y+1/2,x,z'
'y+1/2,-x,-z'
'-x+1/2,-y+1/2,z'
'x+1/2,y+1/2,-z'
'y,-x+1/2,z'
'-y,x+1/2,-z'
'x+1/2,-y,-z'
'-x+1/2,y,z'
'-y,-x,-z'
'y,x,z'
'-x,y+1/2,-z'
'x,-y+1/2,z'
'y+1/2,x+1/2,-z'
'-y+1/2,-x+1/2,z'
loop_
_atom_site_label
_atom_site_type_symbol
_atom_site_fract_x
_atom_site_fract_y
_atom_site_fract_z
Np1 Np 0.250 0.250 0.081
Hg1 Hg 0.250 0.750 0.500
I1 I 0.250 0.250 0.769
N1 N 0.250 0.750 0.000
```

Most intense lines, 2θ = 10–90°, by intensity:
2θ/deg, intensity
32.4, 100.0
30.2, 89.7
13.4, 54.3
52.6, 45.9
45.4, 39.7
35.2, 34.5
55.5, 33.7
26.0, 29.4